The following is a simulated X-ray powder pattern of Ce3Y5N8. It was derived from DFT lattice parameters and positions (PBE), using Cu Kα, 1.54184 Å.

Atomic structure:
```
Ce3Y5N8
1.0
3.512 2.028 5.733
-3.512 2.028 5.733
0.000 -4.055 5.733
Ce Y N
3 5 8
direct
0.000 0.500 0.500 Ce
0.500 0.000 0.500 Ce
0.500 0.500 0.000 Ce
0.000 0.000 0.000 Y
0.000 0.000 0.500 Y
0.000 0.500 0.000 Y
0.500 0.000 0.000 Y
0.500 0.500 0.500 Y
0.249 0.249 0.249 N
0.250 0.250 0.748 N
0.250 0.748 0.250 N
0.252 0.750 0.750 N
0.748 0.250 0.250 N
0.750 0.252 0.750 N
0.750 0.750 0.252 N
0.751 0.751 0.751 N
```

The 10 most intense peaks (2θ from 5° to 70°), in order of rising 2θ:
| Position (°2θ) | d (Å) | I/Imax |
| --- | --- | --- |
| 15.45 | 5.733 | 6.2 |
| 29.83 | 2.995 | 4.0 |
| 31.20 | 2.867 | 100.0 |
| 36.18 | 2.483 | 83.5 |
| 39.55 | 2.279 | 1.9 |
| 47.58 | 1.911 | 1.6 |
| 52.09 | 1.756 | 55.8 |
| 54.67 | 1.679 | 1.6 |
| 61.98 | 1.497 | 44.0 |
| 65.06 | 1.434 | 18.4 |

The following is a simulated X-ray powder pattern of Tm3In2Ga. It was derived from DFT lattice parameters and positions (PBE), using Cu Kα, 1.54184 Å.

Atomic structure:
```
Tm3In2Ga
1.0
3.467 0.000 0.000
0.000 3.467 0.000
0.000 0.000 12.163
Tm In Ga
3 2 1
direct
0.000 0.000 0.000 Tm
0.000 0.000 0.348 Tm
0.000 0.000 0.652 Tm
0.500 0.500 0.173 In
0.500 0.500 0.827 In
0.500 0.500 0.500 Ga
```

The 10 most intense peaks (2θ from 5° to 70°), in order of rising 2θ:
| Position (°2θ) | d (Å) | I/Imax |
| --- | --- | --- |
| 21.92 | 4.054 | 3.9 |
| 25.69 | 3.467 | 6.1 |
| 29.66 | 3.012 | 3.0 |
| 34.02 | 2.635 | 100.0 |
| 36.65 | 2.452 | 42.4 |
| 43.12 | 2.098 | 2.9 |
| 44.71 | 2.027 | 10.4 |
| 52.80 | 1.734 | 14.8 |
| 59.14 | 1.562 | 18.0 |
| 64.32 | 1.448 | 31.2 |

The following is a simulated X-ray powder pattern of Dy6Si2Sn. It was derived from DFT lattice parameters and positions (PBE), using Cu Kα, 1.54184 Å.

Atomic structure:
```
Dy6Si2Sn
1.0
-4.737 4.830 5.141
4.737 -4.830 5.141
4.737 4.830 -5.141
Dy Si Sn
12 4 2
direct
0.034 0.240 0.794 Dy
0.186 0.278 0.463 Dy
0.186 0.722 0.908 Dy
0.321 0.025 0.704 Dy
0.321 0.616 0.296 Dy
0.446 0.240 0.206 Dy
0.554 0.760 0.794 Dy
0.679 0.384 0.704 Dy
0.679 0.975 0.296 Dy
0.814 0.278 0.092 Dy
0.814 0.722 0.537 Dy
0.966 0.760 0.206 Dy
0.115 0.615 0.500 Si
0.372 0.000 0.372 Si
0.628 0.000 0.628 Si
0.885 0.385 0.500 Si
0.000 0.000 0.000 Sn
0.500 0.500 0.000 Sn
```

The 10 most intense peaks (2θ from 5° to 70°), in order of rising 2θ:
| Position (°2θ) | d (Å) | I/Imax |
| --- | --- | --- |
| 27.62 | 3.229 | 20.4 |
| 29.06 | 3.073 | 17.4 |
| 29.76 | 3.002 | 21.3 |
| 31.67 | 2.825 | 100.0 |
| 33.58 | 2.669 | 26.7 |
| 34.19 | 2.622 | 32.0 |
| 34.80 | 2.578 | 23.6 |
| 34.90 | 2.571 | 15.4 |
| 37.99 | 2.368 | 19.7 |
| 59.38 | 1.556 | 18.2 |

The following is a simulated X-ray powder pattern of VGaS4. It was derived from DFT lattice parameters and positions (PBE), using Cu Kα, 1.54184 Å.

Atomic structure:
```
VGaS4
1.0
-2.756 2.756 4.894
2.756 -2.756 4.894
2.756 2.756 -4.894
V Ga S
1 1 4
direct
0.000 0.000 0.000 V
0.250 0.750 0.500 Ga
0.117 0.650 0.007 S
0.350 0.357 0.468 S
0.643 0.110 0.993 S
0.890 0.883 0.532 S
```

The 10 most intense peaks (2θ from 5° to 70°), in order of rising 2θ:
| Position (°2θ) | d (Å) | I/Imax |
| --- | --- | --- |
| 18.48 | 4.802 | 89.6 |
| 29.29 | 3.049 | 100.0 |
| 31.87 | 2.808 | 16.3 |
| 37.63 | 2.390 | 21.6 |
| 46.16 | 1.967 | 15.7 |
| 46.61 | 1.948 | 24.0 |
| 49.84 | 1.830 | 39.4 |
| 56.01 | 1.642 | 26.3 |
| 61.39 | 1.510 | 8.3 |
| 61.63 | 1.505 | 10.0 |